# 1
This entry pairs a crystal structure of Sm4TmIn2 with its simulated powder diffractogram. Radiation: Cu Kα (weighted mean of Kα1 and Kα2). Structure: DFT lattice parameters and positions (PBE).

Structure:
```
Sm4TmIn2
1.0
6.238 0.000 0.000
1.824 7.681 0.000
2.128 -0.269 8.886
Sm Tm In
8 2 4
direct
0.000 0.000 0.000 Sm
0.020 0.591 0.156 Sm
0.280 0.750 0.408 Sm
0.303 0.316 0.561 Sm
0.386 0.272 0.908 Sm
0.556 0.794 0.008 Sm
0.748 0.549 0.555 Sm
0.864 0.073 0.648 Sm
0.140 0.165 0.284 Tm
0.604 0.363 0.213 Tm
0.126 0.667 0.775 In
0.407 0.934 0.686 In
0.699 0.957 0.342 In
0.858 0.393 0.875 In
```

Largest 6 diffraction maxima, low angle first, 5° ≤ 2θ ≤ 70°:
2θ = 30.58°, intensity 45
2θ = 32.05°, intensity 47
2θ = 32.73°, intensity 61
2θ = 33.63°, intensity 100
2θ = 34.18°, intensity 36
2θ = 35.59°, intensity 47

# 2
This entry pairs a crystal structure of Sm3Tm12In with its simulated powder diffractogram. Radiation: Cu Kα (weighted mean of Kα1 and Kα2). Structure: DFT lattice parameters and positions (PBE).

Structure:
```
Sm3Tm12In
1.0
4.918 0.000 0.000
0.000 4.918 0.000
0.000 0.000 19.890
Sm Tm In
3 12 1
direct
0.000 0.000 0.000 Sm
0.000 0.000 0.252 Sm
0.000 0.000 0.748 Sm
0.000 0.500 0.127 Tm
0.000 0.500 0.380 Tm
0.000 0.500 0.620 Tm
0.000 0.500 0.873 Tm
0.500 0.000 0.127 Tm
0.500 0.000 0.380 Tm
0.500 0.000 0.620 Tm
0.500 0.000 0.873 Tm
0.500 0.500 0.000 Tm
0.500 0.500 0.257 Tm
0.500 0.500 0.500 Tm
0.500 0.500 0.743 Tm
0.000 0.000 0.500 In
```

Largest 6 diffraction maxima, low angle first, 5° ≤ 2θ ≤ 70°:
2θ = 31.39°, intensity 100
2θ = 36.13°, intensity 17
2θ = 36.54°, intensity 34
2θ = 52.33°, intensity 23
2θ = 62.03°, intensity 13
2θ = 62.58°, intensity 28

# 3
This entry pairs a crystal structure of Sm12Tm2In with its simulated powder diffractogram. Radiation: Cu Kα (weighted mean of Kα1 and Kα2). Structure: DFT lattice parameters and positions (PBE).

Structure:
```
Sm12Tm2In
1.0
3.610 -5.717 0.000
3.610 5.717 0.000
0.000 0.000 24.365
Sm Tm In
24 4 2
direct
0.001 0.501 0.122 Sm
0.001 0.999 0.928 Sm
0.019 0.519 0.589 Sm
0.024 0.976 0.439 Sm
0.250 0.250 0.195 Sm
0.250 0.250 0.322 Sm
0.250 0.250 0.678 Sm
0.250 0.250 0.805 Sm
0.476 0.524 0.439 Sm
0.481 0.981 0.589 Sm
0.499 0.501 0.928 Sm
0.499 0.999 0.122 Sm
0.501 0.001 0.878 Sm
0.501 0.499 0.072 Sm
0.519 0.019 0.411 Sm
0.524 0.476 0.561 Sm
0.750 0.750 0.195 Sm
0.750 0.750 0.322 Sm
0.750 0.750 0.678 Sm
0.750 0.750 0.805 Sm
0.976 0.024 0.561 Sm
0.981 0.481 0.411 Sm
0.999 0.001 0.072 Sm
0.999 0.499 0.878 Sm
0.250 0.750 0.264 Tm
0.250 0.750 0.740 Tm
0.750 0.250 0.260 Tm
0.750 0.250 0.736 Tm
0.250 0.750 0.000 In
0.750 0.250 0.000 In
```

Largest 6 diffraction maxima, low angle first, 5° ≤ 2θ ≤ 70°:
2θ = 28.74°, intensity 34
2θ = 30.18°, intensity 100
2θ = 31.29°, intensity 95
2θ = 32.82°, intensity 55
2θ = 33.33°, intensity 84
2θ = 36.84°, intensity 46

Which formula does entry 2 have? Sm3Tm12In

Which formula does entry 3 have? Sm12Tm2In